Record 1
Structure and theoretical X-ray powder pattern of TbEr2Sc7 (a structure optimized by DFT (GGA-PBE); λ = 1.5418 Å (Cu Kα)).

Largest 12 diffraction maxima, low angle first, 15 to 90 degrees two-theta:
d (Å)  2θ (°)  I_rel
5.423  16.35  48.6
5.260  16.85  13.4
2.855  31.33  21.0
2.731  32.80  100.0
2.725  32.87  51.2
2.711  33.04  48.2
2.367  38.02  33.8
2.358  38.17  32.3
2.354  38.24  33.7
2.163  41.75  17.3
1.665  55.15  21.5
1.421  65.69  24.4

Crystal structure
Unit cell a=5.751 b=5.794 c=8.830 alpha=102.36 beta=108.94 gamma=99.69
Atoms (fractional coordinates):
Tb 0.000 0.000 0.000
Er 0.206 0.603 0.206
Er 0.794 0.397 0.794
Sc 0.000 0.500 0.500
Sc 0.198 0.095 0.695
Sc 0.399 0.699 0.897
Sc 0.402 0.201 0.403
Sc 0.598 0.799 0.597
Sc 0.601 0.301 0.103
Sc 0.802 0.905 0.305



Record 2
Structure and theoretical X-ray powder pattern of Tb15Er4Sc (a structure optimized by DFT (GGA-PBE); λ = 1.5418 Å (Cu Kα)).

Largest 12 diffraction maxima, low angle first, 15 to 90 degrees two-theta:
d (Å)  2θ (°)  I_rel
2.887  30.98  100.0
2.500  35.92  50.5
1.768  51.71  35.7
1.508  61.47  28.4
1.506  61.59  13.8
1.443  64.57  12.1
1.251  76.09  3.8
1.148  84.39  5.9
1.147  84.49  11.5
1.119  87.10  5.6
1.118  87.16  5.5
1.117  87.31  5.3

Crystal structure
Unit cell a=5.004 b=5.004 c=24.959 alpha=90.00 beta=90.00 gamma=90.00
Atoms (fractional coordinates):
Tb 0.000 0.000 0.000
Tb 0.000 0.000 0.198
Tb 0.000 0.000 0.399
Tb 0.000 0.000 0.601
Tb 0.000 0.000 0.802
Tb 0.000 0.500 0.097
Tb 0.000 0.500 0.299
Tb 0.000 0.500 0.500
Tb 0.000 0.500 0.701
Tb 0.000 0.500 0.903
Tb 0.500 0.000 0.097
Tb 0.500 0.000 0.299
Tb 0.500 0.000 0.500
Tb 0.500 0.000 0.701
Tb 0.500 0.000 0.903
Er 0.500 0.500 0.198
Er 0.500 0.500 0.399
Er 0.500 0.500 0.601
Er 0.500 0.500 0.802
Sc 0.500 0.500 0.000



Record 3
Structure and theoretical X-ray powder pattern of TbEr5Sc4 (a structure optimized by DFT (GGA-PBE); λ = 1.5418 Å (Cu Kα)).

Largest 12 diffraction maxima, low angle first, 15 to 90 degrees two-theta:
d (Å)  2θ (°)  I_rel
3.554  25.06  78.5
3.453  25.80  48.5
3.088  28.91  100.0
2.874  31.12  73.1
2.795  32.02  41.2
2.591  34.62  96.0
2.477  36.27  84.6
2.173  41.57  69.1
1.915  47.47  33.8
1.628  56.51  35.8
1.623  56.72  31.1
1.503  61.70  31.6

Crystal structure
Unit cell a=7.552 b=7.552 c=7.552 alpha=99.43 beta=99.43 gamma=132.25
Atoms (fractional coordinates):
Tb 0.000 0.000 0.000
Er 0.029 0.126 0.610
Er 0.126 0.517 0.097
Er 0.419 0.029 0.903
Er 0.517 0.419 0.390
Er 0.543 0.543 0.000
Sc 0.129 0.827 0.413
Sc 0.414 0.716 0.587
Sc 0.716 0.129 0.302
Sc 0.827 0.414 0.698



Record 4
Structure and theoretical X-ray powder pattern of Tb12ErSc6 (a structure optimized by DFT (GGA-PBE); λ = 1.5418 Å (Cu Kα)).

Largest 12 diffraction maxima, low angle first, 15 to 90 degrees two-theta:
d (Å)  2θ (°)  I_rel
3.697  24.07  16.2
3.307  26.96  19.9
3.019  29.59  100.0
2.795  32.03  95.9
2.614  34.30  53.4
2.465  36.45  17.4
2.338  38.50  17.7
2.051  44.16  15.6
1.793  50.92  24.6
1.696  54.06  34.9
1.479  62.84  22.5
1.102  88.76  15.3

Crystal structure
Unit cell a=9.056 b=9.056 c=9.056 alpha=109.47 beta=109.47 gamma=109.47
Atoms (fractional coordinates):
Tb 0.070 0.803 0.267
Tb 0.197 0.267 0.464
Tb 0.197 0.733 0.930
Tb 0.267 0.070 0.803
Tb 0.267 0.464 0.197
Tb 0.464 0.197 0.267
Tb 0.536 0.803 0.733
Tb 0.733 0.536 0.803
Tb 0.733 0.930 0.197
Tb 0.803 0.267 0.070
Tb 0.803 0.733 0.536
Tb 0.930 0.197 0.733
Er 0.000 0.000 0.000
Sc 0.138 0.638 0.500
Sc 0.362 0.500 0.862
Sc 0.500 0.138 0.638
Sc 0.500 0.862 0.362
Sc 0.638 0.500 0.138
Sc 0.862 0.362 0.500